Structure and computed powder XRD pattern of Nd3SmTe4 (a GGA-PBE-relaxed structure; copper Kα).

Crystal structure
```
data_Nd3SmTe4
_cell_length_a 4.3967
_cell_length_b 4.3967
_cell_length_c 30.5179
_cell_angle_alpha 90.00
_cell_angle_beta 90.00
_cell_angle_gamma 120.00
_space_group_name_H-M_alt 'P 63/m m c'
_space_group_IT_number 194
_space_group_name_Hall '-P 6c 2c'
loop_
_atom_site_label
_atom_site_type_symbol
_atom_site_fract_x
_atom_site_fract_y
_atom_site_fract_z
Nd1 Nd 0.0000 0.0000 0.0000
Nd2 Nd 0.3333 0.6667 0.1245
Sm1 Sm 0.3333 0.6667 0.7500
Te1 Te 0.0000 0.0000 0.1876
Te2 Te 0.3333 0.6667 0.5626
```

The 10 most intense peaks (10° ≤ 2θ ≤ 80°), most intense first:
2θ/deg  I_rel  index
27.6  100  1 0 5
29.3  80  1 0 6
41.1  79  1 1 0
64.7  41  1 1 16
37.8  39  1 0 10
40.2  38  1 0 11
26.2  21  1 0 4
50.2  19  2 0 5
47.7  18  0 0 16
51.2  17  2 0 6